Record 1
PmNbIrRu: simulated powder X-ray diffraction pattern (λ = 1.5418 Å (Cu Kα)), based on DFT lattice parameters and positions (PBE).
Neutral-atom scattering factors, no anomalous dispersion.

Main lines, by angle (2θ = 5–70°):
d [Å]  Position (°2θ)  I (rel.)
3.856  23.1  8
3.339  26.7  1
2.361  38.1  100
2.014  45.0  5
1.670  55.0  17
1.532  60.4  2
1.363  68.9  35

Crystal structure
Lattice parameters (Å, degrees): 4.7225 4.7225 4.7225 60.00 60.00 60.00
Atoms (fractional coordinates):
Pm 0.0000 0.0000 0.0000
Nb 0.5000 0.5000 0.5000
Ir 0.7500 0.7500 0.7500
Ru 0.2500 0.2500 0.2500

---

Record 2
Pa4Ir3Rh3: simulated powder X-ray diffraction pattern (λ = 1.5418 Å (Cu Kα)), based on DFT lattice parameters and positions (PBE).
Neutral-atom scattering factors, no anomalous dispersion.

Main lines, by angle (2θ = 5–70°):
d [Å]  Position (°2θ)  I (rel.)
3.766  23.6  9
3.261  27.3  8
2.917  30.7  2
2.465  36.4  100
2.306  39.1  7
2.063  43.9  19
1.967  46.2  2
1.883  48.3  4
1.684  54.5  32
1.631  56.4  5
1.496  62.0  3
1.360  69.1  16

Crystal structure
Lattice parameters (Å, degrees): 7.9881 7.9881 7.9881 109.47 109.47 109.47
Atoms (fractional coordinates):
Pa 0.0000 0.2524 0.5000
Pa 0.0000 0.7524 0.5000
Pa 0.2476 0.2476 0.2476
Pa 0.2524 0.5000 0.0000
Pa 0.5000 0.0000 0.2524
Pa 0.5000 0.0000 0.7524
Pa 0.7476 0.7476 0.7476
Pa 0.7524 0.5000 0.0000
Ir 0.1250 0.7500 0.8750
Ir 0.2500 0.6250 0.3750
Ir 0.3750 0.2500 0.6250
Ir 0.6250 0.3750 0.2500
Ir 0.7500 0.8750 0.1250
Ir 0.8750 0.1250 0.7500
Rh 0.1250 0.8750 0.2500
Rh 0.2500 0.1250 0.8750
Rh 0.3750 0.6250 0.7500
Rh 0.6250 0.7500 0.3750
Rh 0.7500 0.3750 0.6250
Rh 0.8750 0.2500 0.1250

---

Record 3
TbPm3Tm: simulated powder X-ray diffraction pattern (λ = 1.5418 Å (Cu Kα)), based on DFT lattice parameters and positions (PBE).
Neutral-atom scattering factors, no anomalous dispersion.

Main lines, by angle (2θ = 5–70°):
d [Å]  Position (°2θ)  I (rel.)
2.940  30.4  86
2.882  31.0  100
2.756  32.5  46
2.719  32.9  41
2.638  34.0  18
2.207  40.9  16
1.935  46.9  31
1.624  56.7  15
1.614  57.1  18
1.590  58.0  17
1.512  61.3  29
1.493  62.2  14

Crystal structure
Lattice parameters (Å, degrees): 8.8884 8.8884 7.1031 90.00 90.00 143.87
Atoms (fractional coordinates):
Tb 0.1102 0.8898 0.5000
Tb 0.8898 0.1102 0.0000
Pm 0.1089 0.8911 0.9965
Pm 0.3003 0.6997 0.7491
Pm 0.5000 0.5000 0.2473
Pm 0.5000 0.5000 0.7473
Pm 0.6997 0.3003 0.2491
Pm 0.8911 0.1089 0.4965
Tm 0.3009 0.6991 0.2486
Tm 0.6991 0.3009 0.7486

---

Record 4
Ta2Se4I: simulated powder X-ray diffraction pattern (λ = 1.5418 Å (Cu Kα)), based on DFT lattice parameters and positions (PBE).
Neutral-atom scattering factors, no anomalous dispersion.

Main lines, by angle (2θ = 5–70°):
d [Å]  Position (°2θ)  I (rel.)
6.847  12.9  100
6.128  14.5  98
5.417  16.4  32
4.131  21.5  29
3.652  24.4  64
2.984  29.9  58
2.709  33.1  85
2.685  33.4  81
2.498  36.0  52
2.354  38.2  37
2.198  41.1  51
1.939  46.9  41

Crystal structure
Lattice parameters (Å, degrees): 7.4280 7.4280 7.8098 109.39 109.39 93.66
Atoms (fractional coordinates):
Ta 0.0550 0.0550 0.2811
Ta 0.1074 0.5012 0.3715
Ta 0.4988 0.8926 0.6285
Ta 0.9450 0.9450 0.7189
Se 0.1814 0.2026 0.0871
Se 0.2337 0.7316 0.7328
Se 0.2459 0.1372 0.6545
Se 0.2684 0.7663 0.2672
Se 0.7338 0.1828 0.6788
Se 0.7974 0.8186 0.9129
Se 0.8172 0.2662 0.3212
Se 0.8628 0.7541 0.3455
I 0.5046 0.4954 0.5000
I 0.5135 0.4865 0.0000

---

Record 5
AcSn4Ge: simulated powder X-ray diffraction pattern (λ = 1.5418 Å (Cu Kα)), based on DFT lattice parameters and positions (PBE).
Neutral-atom scattering factors, no anomalous dispersion.

Main lines, by angle (2θ = 5–70°):
d [Å]  Position (°2θ)  I (rel.)
5.103  17.4  8
4.419  20.1  9
3.125  28.6  31
2.665  33.6  100
2.551  35.2  36
2.028  44.7  3
1.976  45.9  4
1.804  50.6  13
1.701  53.9  36
1.562  59.1  29
1.397  67.0  6
1.348  69.8  13

Crystal structure
Lattice parameters (Å, degrees): 6.2494 6.2494 6.2494 60.00 60.00 60.00
Atoms (fractional coordinates):
Ac 0.0000 0.0000 0.0000
Sn 0.3759 0.3759 0.3759
Sn 0.3759 0.3759 0.8723
Sn 0.3759 0.8723 0.3759
Sn 0.8723 0.3759 0.3759
Ge 0.7500 0.7500 0.7500

---

Record 6
Ac3InGe2: simulated powder X-ray diffraction pattern (λ = 1.5418 Å (Cu Kα)), based on DFT lattice parameters and positions (PBE).
Neutral-atom scattering factors, no anomalous dispersion.

Main lines, by angle (2θ = 5–70°):
d [Å]  Position (°2θ)  I (rel.)
3.598  24.7  100
3.432  26.0  9
2.741  32.7  9
2.665  33.6  50
2.439  36.8  43
2.019  44.9  16
2.013  45.0  25
1.989  45.6  8
1.799  50.7  16
1.555  59.4  12
1.448  64.3  10
1.404  66.6  11

Crystal structure
Lattice parameters (Å, degrees): 8.4216 8.4216 8.4216 60.23 60.23 60.23
Atoms (fractional coordinates):
Ac 0.0471 0.7500 0.4529
Ac 0.2500 0.5471 0.9529
Ac 0.4529 0.0471 0.7500
Ac 0.5471 0.9529 0.2500
Ac 0.7500 0.4529 0.0471
Ac 0.9529 0.2500 0.5471
In 0.0000 0.0000 0.0000
In 0.5000 0.5000 0.5000
Ge 0.1486 0.1486 0.1486
Ge 0.3514 0.3514 0.3514
Ge 0.6486 0.6486 0.6486
Ge 0.8514 0.8514 0.8514